Record 1
Starting from DFT lattice parameters and positions (PBE), the PXRD pattern of Ba3PuB2N6 was simulated for Cu Kα.

Principal peaks in the range 10 to 90 degrees two-theta, low angle first:
- (1 0 0), 2θ 17.8, intensity 42
- (0 1 1), 2θ 21.9, intensity 33
- (1 1 0), 2θ 31.1, intensity 82
- (0 1 2), 2θ 31.3, intensity 100
- (2 0 2), 2θ 44.7, intensity 44
- (1 2 2), 2θ 55.4, intensity 38

Structural model:
abc: 5.7540 5.7540 6.9890
angles: 90.00 90.00 120.00
Space group P-3m1 (No. 164)
Asymmetric unit:
Ba (0.0000, 0.0000, 0.0000) [1 per cell]
Ba (0.3333, 0.6667, 0.7010) [2 per cell]
Pu (0.0000, 0.0000, 0.5000) [1 per cell]
B (0.3333, 0.6667, 0.2983) [2 per cell]
N (0.1843, 0.3685, 0.3113) [6 per cell]

=====

Record 2
Starting from DFT lattice parameters and positions (PBE), the PXRD pattern of Ba4Sm7Si12BN27 was simulated for Cu Kα.

Principal peaks in the range 10 to 90 degrees two-theta, low angle first:
- (1 1 1), 2θ 21.8, intensity 44
- (2 0 1), 2θ 23.4, intensity 74
- (2 1 1), 2θ 27.6, intensity 77
- (0 0 2), 2θ 32.9, intensity 73
- (2 2 1), 2θ 33.5, intensity 100
- (1 4 0), 2θ 38.8, intensity 37

Structural model:
abc: 12.2683 12.2683 5.4511
angles: 90.00 90.00 120.00
Space group P-6 (No. 174)
Asymmetric unit:
Ba (0.0000, 0.0000, 0.0000) [1 per cell]
Ba (0.4121, 0.1790, 0.0000) [3 per cell]
Sm (0.0422, 0.6969, 0.5000) [3 per cell]
Sm (0.0896, 0.4489, 0.5000) [3 per cell]
Sm (0.3333, 0.6667, 0.0000) [1 per cell]
Si (0.0241, 0.5455, 0.0000) [3 per cell]
Si (0.0278, 0.1605, 0.5000) [3 per cell]
Si (0.1385, 0.3464, 0.0000) [3 per cell]
Si (0.5731, 0.4012, 0.5000) [3 per cell]
B (0.3333, 0.6667, 0.5000) [1 per cell]
N (0.0577, 0.2623, 0.2557) [6 per cell]
N (0.0870, 0.7071, 0.0000) [3 per cell]
N (0.1290, 0.4865, 0.0000) [3 per cell]
N (0.1462, 0.1186, 0.5000) [3 per cell]
N (0.2228, 0.6836, 0.5000) [3 per cell]
N (0.5077, 0.2410, 0.5000) [3 per cell]
N (0.5084, 0.4434, 0.2602) [6 per cell]

=====

Record 3
Starting from DFT lattice parameters and positions (PBE), the PXRD pattern of BaSrBN2 was simulated for Cu Kα.

Principal peaks in the range 10 to 90 degrees two-theta, low angle first:
- (1 1 0), 2θ 23.6, intensity 94
- (0 0 2), 2θ 23.7, intensity 36
- (0 2 0), 2θ 28.5, intensity 29
- (1 1 2), 2θ 33.7, intensity 100
- (0 2 2), 2θ 37.4, intensity 38
- (2 2 2), 2θ 54.4, intensity 23

Structural model:
abc: 4.730 6.255 7.508
angles: 90.00 90.03 90.00
Space group P2/c (No. 13)
Asymmetric unit:
Ba (0.000, 0.001, 0.250) [2 per cell]
Sr (0.500, 0.499, 0.750) [2 per cell]
B (0.500, 0.000, 0.000) [2 per cell]
N (0.431, 0.208, 0.000) [4 per cell]

=====

Record 4
Starting from DFT lattice parameters and positions (PBE), the PXRD pattern of BaThBN3 was simulated for Cu Kα.

Principal peaks in the range 10 to 90 degrees two-theta, low angle first:
- (1 0 0), 2θ 17.6, intensity 61
- (1 0 1), 2θ 22.3, intensity 25
- (1 1 0), 2θ 30.8, intensity 85
- (1 0 2), 2θ 32.7, intensity 100
- (2 0 2), 2θ 45.5, intensity 50
- (2 1 2), 2θ 56.0, intensity 46

Structural model:
abc: 5.8087 5.8087 6.5220
angles: 90.00 90.00 120.00
Space group P6_3/mmc (No. 194)
Asymmetric unit:
Ba (0.3333, 0.6667, 0.2500) [2 per cell]
Th (0.0000, 0.0000, 0.0000) [2 per cell]
B (0.3333, 0.6667, 0.7500) [2 per cell]
N (0.1842, 0.3684, 0.7500) [6 per cell]